1.
Starting from DFT lattice parameters and positions (GGA-PBE), the powder diffractogram of Dy4Ho2Er5 was simulated for Cu Kα (weighted mean of Kα1 and Kα2).
Lines closer than 0.1° are merged.

Structure:
a b c (Å): 21.280 3.615 9.105
angles (deg): 90.00 102.57 90.00
Space group C2/m (No. 12)
One atom of each set of equivalent atoms:
Dy1 0.027 0.000 0.202 [4 per cell]
Dy2 0.171 0.500 0.417 [4 per cell]
Ho1 0.115 0.500 0.006 [4 per cell]
Er1 0.000 0.500 0.500 [2 per cell]
Er2 0.118 0.000 0.696 [4 per cell]
Er3 0.249 0.000 0.170 [4 per cell]

Main lines, sorted by position (15 to 90 degrees two-theta):
2theta, I (rel.)
29.7, 38
31.3, 59
32.8, 100
33.0, 97
50.5, 18
60.6, 18

---

2.
Starting from DFT lattice parameters and positions (GGA-PBE), the powder diffractogram of ThGe2Pd6 was simulated for Cu Kα (weighted mean of Kα1 and Kα2).
Lines closer than 0.1° are merged.

Structure:
a b c (Å): 5.5238 5.5238 6.7131
angles (deg): 90.00 90.00 120.00
Space group P6/mmm (No. 191)
One atom of each set of equivalent atoms:
Th1 0.0000 0.0000 0.0000 [1 per cell]
Ge1 0.3333 0.6667 0.5000 [2 per cell]
Pd1 0.0000 0.5000 0.2086 [6 per cell]

Main lines, sorted by position (15 to 90 degrees two-theta):
2theta, I (rel.)
22.8, 66
32.6, 52
37.6, 100
40.0, 58
42.4, 71
44.7, 39

---

3.
Starting from DFT lattice parameters and positions (GGA-PBE), the powder diffractogram of K4Np3BeS8 was simulated for Cu Kα (weighted mean of Kα1 and Kα2).
Lines closer than 0.1° are merged.

Structure:
a b c (Å): 14.043 7.893 8.654
angles (deg): 90.00 122.03 90.00
Space group C2/m (No. 12)
One atom of each set of equivalent atoms:
K1 0.000 0.000 0.000 [2 per cell]
K2 0.000 0.500 0.000 [2 per cell]
K3 0.250 0.250 0.000 [4 per cell]
Np1 0.000 0.000 0.500 [2 per cell]
Np2 0.250 0.250 0.500 [4 per cell]
Be1 0.000 0.500 0.500 [2 per cell]
S1 0.017 0.278 0.322 [8 per cell]
S2 0.232 0.000 0.702 [4 per cell]
S3 0.246 0.500 0.711 [4 per cell]

Main lines, sorted by position (15 to 90 degrees two-theta):
2theta, I (rel.)
24.3, 33
27.1, 42
30.0, 56
30.7, 100
41.9, 55
45.0, 37

---

4.
Starting from DFT lattice parameters and positions (GGA-PBE), the powder diffractogram of LiSc3Ga2 was simulated for Cu Kα (weighted mean of Kα1 and Kα2).
Lines closer than 0.1° are merged.

Structure:
a b c (Å): 4.7571 4.7571 11.7176
angles (deg): 90.00 90.00 120.00
Space group P-3m1 (No. 164)
One atom of each set of equivalent atoms:
Li1 0.3333 0.6667 0.1719 [2 per cell]
Sc1 0.0000 0.0000 0.2547 [2 per cell]
Sc2 0.3333 0.6667 0.4201 [2 per cell]
Sc3 0.3333 0.6667 0.9183 [2 per cell]
Ga1 0.0000 0.0000 0.0000 [1 per cell]
Ga2 0.0000 0.0000 0.5000 [1 per cell]
Ga3 0.3333 0.6667 0.6797 [2 per cell]

Main lines, sorted by position (15 to 90 degrees two-theta):
2theta, I (rel.)
22.9, 28
37.7, 98
37.8, 100
54.5, 32
67.9, 16
68.2, 46